This entry pairs a crystal structure of Cs3ErCl6 with its computed XRD peak list. Radiation: Cu Kα. Structure: a GGA-PBE-relaxed structure.
Neutral-atom scattering factors, no anomalous dispersion.

Largest 8 diffraction maxima, by intensity, 2θ from 10° to 90°:
2θ/deg  I/Imax
21.28  100
30.28  50
37.31  45
43.35  34
58.50  28
48.78  25
83.49  15
71.46  13

Cell and atoms:
Cell lengths 8.349, 8.349, 8.349 Å; angles 60.00, 60.00, 60.00 degrees
Element x y z (fractional)
Cs1 0.000 0.000 0.000
Cs2 0.250 0.250 0.250
Cs3 0.750 0.750 0.750
Er1 0.500 0.500 0.500
Cl1 0.278 0.278 0.722
Cl2 0.278 0.722 0.278
Cl3 0.278 0.722 0.722
Cl4 0.722 0.278 0.278
Cl5 0.722 0.278 0.722
Cl6 0.722 0.722 0.278